# NaSbO3
Simulated X-ray powder pattern, Cu Kα, 1.54184 Å. Input: a cell relaxed with GGA-PBE.

Lattice parameters (Å, degrees): 5.4290 5.5083 8.6113 90.00 90.00 90.00
Element x y z (fractional)
Na 0.2500 0.0000 0.1807
Na 0.2500 0.5000 0.3193
Na 0.7500 0.0000 0.8193
Na 0.7500 0.5000 0.6807
Sb 0.2500 0.0000 0.5959
Sb 0.2500 0.5000 0.9041
Sb 0.7500 0.0000 0.4041
Sb 0.7500 0.5000 0.0959
O 0.0677 0.1827 0.4220
O 0.0677 0.3173 0.0780
O 0.1182 0.2500 0.7500
O 0.3818 0.7500 0.7500
O 0.4323 0.6827 0.0780
O 0.4323 0.8173 0.4220
O 0.5677 0.1827 0.5780
O 0.5677 0.3173 0.9220
O 0.6182 0.2500 0.2500
O 0.8818 0.7500 0.2500
O 0.9323 0.6827 0.9220
O 0.9323 0.8173 0.5780

Most intense lines, 2θ = 10–80°, most intense first:
- 19.13 deg, rel. 100, (0 1 1)
- 31.09 deg, rel. 92, (1 1 2)
- 48.80 deg, rel. 32, (1 2 3)
- 19.33 deg, rel. 24, (1 0 1)
- 47.00 deg, rel. 23, (2 2 0)
- 38.42 deg, rel. 21, (2 1 1)
- 35.37 deg, rel. 20, (1 0 3)
- 57.11 deg, rel. 19, (1 3 2)
- 57.74 deg, rel. 19, (3 1 2)
- 33.00 deg, rel. 18, (2 0 0)